This entry pairs a crystal structure of ZnCo2H2 with its simulated powder X-ray diffraction pattern. Radiation: Cu Kα (λ = 1.5418 Å). Structure: a cell relaxed with PBE.

Main lines, by angle (10° ≤ 2θ ≤ 80°):
| 2θ (°) | Rel. int. | (hkl) |
| --- | --- | --- |
| 40.97 | 100 | 0 0 4 |
| 43.76 | 56 | 2 0 2 |
| 50.76 | 36 | 1 3 3 |
| 67.21 | 14 | 1 3 5 |
| 71.20 | 12 | 3 3 1 |
| 76.27 | 9 | 0 6 2 |
| 76.60 | 9 | 2 0 6 |
| 78.48 | 9 | 3 3 3 |

Structure:
Cell lengths 4.686, 7.811, 8.807 Å; angles 90.00, 90.00, 90.00 degrees
Space group Fddd (No. 70, origin choice 2)
Symmetry-distinct sites (fractional):
Zn: 0.125 0.125 0.125 [8 per cell]
Co: 0.125 0.293 0.625 [16 per cell]
H: 0.125 0.125 0.496 [16 per cell]



This entry pairs a crystal structure of ZnCoH with its simulated powder X-ray diffraction pattern. Radiation: Cu Kα (λ = 1.5418 Å). Structure: a cell relaxed with PBE.

Main lines, by angle (10° ≤ 2θ ≤ 80°):
| 2θ (°) | Rel. int. | (hkl) |
| --- | --- | --- |
| 35.69 | 26 | 0 0 2 |
| 40.46 | 57 | 1 1 -2 |
| 42.52 | 59 | 2 1 -1 |
| 43.75 | 84 | 2 1 0 |
| 43.91 | 100 | 0 2 1 |
| 45.91 | 60 | 1 0 2 |
| 48.86 | 33 | 2 1 -2 |
| 50.60 | 24 | 1 2 1 |
| 56.16 | 26 | 1 1 -3 |
| 78.61 | 22 | 1 2 3 |

Structure:
Cell lengths 4.885, 4.521, 5.281 Å; angles 90.00, 107.68, 90.00 degrees
Space group P2_1/c (No. 14)
Symmetry-distinct sites (fractional):
Zn: 0.156 0.136 0.368 [4 per cell]
Co: 0.396 0.651 0.294 [4 per cell]
H: 0.308 0.580 0.569 [4 per cell]



This entry pairs a crystal structure of Zn2Co2H with its simulated powder X-ray diffraction pattern. Radiation: Cu Kα (λ = 1.5418 Å). Structure: a cell relaxed with PBE.

Main lines, by angle (10° ≤ 2θ ≤ 80°):
| 2θ (°) | Rel. int. | (hkl) |
| --- | --- | --- |
| 31.85 | 2 | 0 0 3 |
| 39.15 | 25 | 1 0 0 |
| 40.65 | 1 | 1 0 1 |
| 42.92 | 24 | 0 0 4 |
| 44.88 | 100 | 0 1 2 |
| 51.33 | 1 | 1 0 3 |
| 59.49 | 14 | 1 0 4 |
| 69.08 | 2 | 0 1 5 |
| 70.95 | 16 | 1 1 0 |
| 79.88 | 1 | 1 1 3 |

Structure:
Cell lengths 2.6567, 2.6567, 8.4283 Å; angles 90.00, 90.00, 120.00 degrees
Space group P-3m1 (No. 164)
Symmetry-distinct sites (fractional):
Zn: 0.3333 0.6667 0.1374 [2 per cell]
Co: 0.3333 0.6667 0.6191 [2 per cell]
H: 0.0000 0.0000 0.5000 [1 per cell]